Record 1
For Ca2In6GaPd, a cell relaxed with PBE gives the theoretical powder diffraction line list in this record (Cu Kα, 1.54184 Å).

Cell and atoms:
Unit cell a=7.2795 b=7.2795 c=35.6990 alpha=90.00 beta=90.00 gamma=120.00
Space group R-3m (No. 166, hexagonal axes)
Symmetry-distinct sites (fractional):
Ca1 0.0000 0.0000 0.1030 (multiplicity 6)
Ca2 0.0000 0.0000 0.2816 (multiplicity 6)
In1 0.0498 0.5249 0.3009 (multiplicity 18)
In2 0.0618 0.5309 0.8657 (multiplicity 18)
Ga1 0.0000 0.0000 0.4273 (multiplicity 6)
Pd1 0.0000 0.0000 0.0000 (multiplicity 3)
Pd2 0.0000 0.0000 0.5000 (multiplicity 3)

Main lines, low angle first (2θ from 10° to 90°):
| h k l | d_spacing | two_theta | intensity |
| --- | --- | --- | --- |
| 0 0 6 | 5.948 | 14.9 | 51 |
| 0 1 5 | 4.726 | 18.8 | 51 |
| 2 0 5 | 2.884 | 31.0 | 92 |
| 0 2 7 | 2.681 | 33.4 | 100 |
| 1 2 2 | 2.362 | 38.1 | 95 |
| 2 1 4 | 2.303 | 39.1 | 53 |
| 2 0 14 | 1.983 | 45.8 | 33 |
| 2 2 0 | 1.820 | 50.1 | 53 |

Record 2
For YTh2Mg6, a cell relaxed with PBE gives the theoretical powder diffraction line list in this record (Cu Kα, 1.54184 Å).

Cell and atoms:
Unit cell a=9.1122 b=9.1122 c=3.3234 alpha=90.00 beta=90.00 gamma=120.00
Space group P6/mmm (No. 191)
Symmetry-distinct sites (fractional):
Y1 0.0000 0.0000 0.0000 (multiplicity 1)
Th1 0.3333 0.6667 0.0000 (multiplicity 2)
Mg1 0.0000 0.3315 0.5000 (multiplicity 6)

Main lines, low angle first (2θ from 10° to 90°):
| h k l | d_spacing | two_theta | intensity |
| --- | --- | --- | --- |
| 1 0 0 | 7.891 | 11.2 | 25 |
| 1 1 0 | 4.556 | 19.5 | 100 |
| 1 1 1 | 2.685 | 33.4 | 97 |
| 3 0 0 | 2.630 | 34.1 | 58 |
| 2 2 0 | 2.278 | 39.6 | 17 |
| 3 0 1 | 2.063 | 43.9 | 18 |
| 2 2 1 | 1.879 | 48.4 | 34 |
| 4 1 1 | 1.529 | 60.6 | 35 |

Record 3
For PaZn4Fe, a cell relaxed with PBE gives the theoretical powder diffraction line list in this record (Cu Kα, 1.54184 Å).

Cell and atoms:
Unit cell a=7.341 b=7.341 c=7.341 alpha=90.00 beta=90.00 gamma=90.00
Space group F-43m (No. 216)
Symmetry-distinct sites (fractional):
Pa1 0.000 0.000 0.000 (multiplicity 4)
Zn1 0.124 0.124 0.624 (multiplicity 16)
Fe1 0.250 0.250 0.250 (multiplicity 4)

Main lines, low angle first (2θ from 10° to 90°):
| h k l | d_spacing | two_theta | intensity |
| --- | --- | --- | --- |
| 1 1 1 | 4.238 | 21.0 | 22 |
| 2 0 0 | 3.671 | 24.2 | 21 |
| 2 2 0 | 2.595 | 34.6 | 48 |
| 3 1 1 | 2.213 | 40.8 | 100 |
| 2 2 2 | 2.119 | 42.7 | 24 |
| 4 2 2 | 1.499 | 61.9 | 18 |
| 5 1 1 | 1.413 | 66.1 | 32 |
| 4 4 0 | 1.298 | 72.9 | 21 |

Record 4
For InHg15, a cell relaxed with PBE gives the theoretical powder diffraction line list in this record (Cu Kα, 1.54184 Å).

Cell and atoms:
Unit cell a=6.8639 b=6.8639 c=10.9701 alpha=90.00 beta=90.00 gamma=120.00
Space group P-6m2 (No. 187)
Symmetry-distinct sites (fractional):
In1 0.0000 0.0000 0.0000 (multiplicity 1)
Hg1 0.0000 0.0000 0.5000 (multiplicity 1)
Hg2 0.9998 0.4999 0.5000 (multiplicity 3)
Hg3 0.0019 0.5010 0.0000 (multiplicity 3)
Hg4 0.3333 0.6667 0.2514 (multiplicity 2)
Hg5 0.3346 0.1673 0.2506 (multiplicity 6)

Main lines, low angle first (2θ from 10° to 90°):
| h k l | d_spacing | two_theta | intensity |
| --- | --- | --- | --- |
| 2 0 0 | 2.972 | 30.1 | 23 |
| 0 0 4 | 2.743 | 32.7 | 25 |
| 2 0 2 | 2.613 | 34.3 | 100 |
| 2 0 4 | 2.016 | 45.0 | 16 |
| 2 2 0 | 1.716 | 53.4 | 19 |
| 2 0 6 | 1.557 | 59.3 | 21 |
| 2 2 4 | 1.455 | 64.0 | 23 |
| 4 0 2 | 1.434 | 65.0 | 16 |